This entry pairs a crystal structure of MnAg2SnTe4 with its calculated X-ray powder pattern. Radiation: Cu Kα (λ = 1.5418 Å). Structure: a crystal structure in Alexandria, relaxed with GGA-PBE.
Neutral-atom scattering factors, no anomalous dispersion.

Cell and atoms:
```
16
Lattice="6.3888 0.0000 0.0000 0.0000 6.3888 0.0000 0.0000 0.0000 13.0536" Properties=species:S:1:pos:R:3 pbc="T T T"
Mn 0.0000 0.0000 0.0000
Mn 3.1944 3.1944 6.5268
Ag 0.0000 3.1944 3.2634
Ag 0.0000 3.1944 9.7902
Ag 3.1944 0.0000 3.2634
Ag 3.1944 0.0000 9.7902
Sn 0.0000 0.0000 6.5268
Sn 3.1944 3.1944 0.0000
Te 1.5372 1.5372 11.4279
Te 1.5372 4.8516 1.6257
Te 1.6572 1.6572 4.9011
Te 1.6572 4.7316 8.1525
Te 4.7316 1.6572 8.1525
Te 4.7316 4.7316 4.9011
Te 4.8516 1.5372 1.6257
Te 4.8516 4.8516 11.4279
```

Most intense lines, 10° ≤ 2θ ≤ 90°, sorted by position:
2theta	intensity
23.96	100
39.47	53
39.91	25
46.32	17
47.09	32
57.72	8
62.76	13
63.39	7
71.30	9
72.18	17



This entry pairs a crystal structure of LaDy2Ho4 with its calculated X-ray powder pattern. Radiation: Cu Kα (λ = 1.5418 Å). Structure: a crystal structure in Alexandria, relaxed with GGA-PBE.
Neutral-atom scattering factors, no anomalous dispersion.

Cell and atoms:
```
14
Lattice="7.0693 0.0000 0.0000 -1.7660 8.4184 0.0000 -1.7591 -4.1038 7.6056" Properties=species:S:1:pos:R:3 pbc="T T T"
La 0.0000 0.0000 0.0000
La -0.0072 3.3609 4.1434
Dy 0.0126 -1.8407 5.3624
Dy 1.7788 5.8234 2.0556
Dy 3.5394 3.4032 4.0822
Dy 5.2806 2.8448 1.0023
Ho -1.7693 5.8121 2.1114
Ho -1.7648 1.0865 6.6330
Ho 1.7865 2.8344 1.0322
Ho 1.7936 0.2260 3.1452
Ho 1.7765 -4.0959 7.6033
Ho 1.7853 1.0995 6.6146
Ho 3.5350 -1.8916 5.3329
Ho 5.2822 0.2454 3.1506
```

Most intense lines, 10° ≤ 2θ ≤ 90°, sorted by position:
2theta	intensity
30.00	74
31.24	96
31.40	100
31.49	95
32.53	89
33.05	89
47.97	38
51.72	26
61.78	43
62.45	27



This entry pairs a crystal structure of Sm3Dy4Ho4 with its calculated X-ray powder pattern. Radiation: Cu Kα (λ = 1.5418 Å). Structure: a crystal structure in Alexandria, relaxed with GGA-PBE.
Neutral-atom scattering factors, no anomalous dispersion.

Cell and atoms:
```
11
Lattice="10.5470 0.0000 0.0000 0.0000 2.8374 6.0065 0.0000 -2.8374 6.0065" Properties=species:S:1:pos:R:3 pbc="T T T"
Sm 0.0000 0.0000 0.0000
Sm 3.1173 0.0000 1.8219
Sm 7.4297 0.0000 1.8219
Dy 0.0000 0.0000 3.5885
Dy 3.0804 0.0000 10.1807
Dy 5.2735 0.0000 4.3844
Dy 7.4666 0.0000 10.1807
Ho 0.0000 0.0000 8.4355
Ho 2.2393 0.0000 5.9953
Ho 5.2735 0.0000 7.6484
Ho 8.3077 0.0000 5.9953
```

Most intense lines, 10° ≤ 2θ ≤ 90°, sorted by position:
2theta	intensity
30.83	28
30.96	16
31.53	37
32.20	100
34.00	16
44.77	11
47.05	13
56.56	22
62.40	14
63.04	12



This entry pairs a crystal structure of Ba2ZnPdO4 with its calculated X-ray powder pattern. Radiation: Cu Kα (λ = 1.5418 Å). Structure: a crystal structure in Alexandria, relaxed with GGA-PBE.
Neutral-atom scattering factors, no anomalous dispersion.

Cell and atoms:
```
16
Lattice="6.3102 0.0000 0.0000 0.0000 6.3102 0.0000 0.0000 0.0000 6.6910" Properties=species:S:1:pos:R:3 pbc="T T T"
Ba 0.0000 0.0000 0.0000
Ba 0.0000 3.1551 1.6727
Ba 3.1551 0.0000 5.0182
Ba 3.1551 3.1551 3.3455
Zn 0.0000 0.0000 3.3455
Zn 3.1551 3.1551 0.0000
Pd 0.0000 3.1551 5.0182
Pd 3.1551 0.0000 1.6727
O 0.9542 4.9676 4.5595
O 1.3426 0.9542 2.1315
O 1.8125 2.2009 5.4770
O 2.2009 4.4976 1.2140
O 4.1093 1.8125 1.2140
O 4.4976 4.1093 5.4770
O 4.9676 5.3560 2.1315
O 5.3560 1.3426 4.5595
```

Most intense lines, 10° ≤ 2θ ≤ 90°, sorted by position:
2theta	intensity
28.29	65
33.48	100
40.43	33
53.47	55
58.51	10
62.88	16
66.24	15
69.12	11
70.34	11
83.24	14



This entry pairs a crystal structure of NiTe4Ir with its calculated X-ray powder pattern. Radiation: Cu Kα (λ = 1.5418 Å). Structure: a crystal structure in Alexandria, relaxed with GGA-PBE.
Neutral-atom scattering factors, no anomalous dispersion.

Cell and atoms:
```
6
Lattice="5.3870 0.0000 0.0000 0.0000 3.9745 0.0000 -0.0310 0.0000 6.8353" Properties=species:S:1:pos:R:3 pbc="T T T"
Ni 0.0000 0.0000 0.0000
Te 1.2429 1.9873 5.7545
Te 1.3627 0.0000 2.2827
Te 3.9933 0.0000 4.5525
Te 4.1130 1.9873 1.0808
Ir -0.0155 1.9873 3.4176
```

Most intense lines, 10° ≤ 2θ ≤ 90°, sorted by position:
2theta	intensity
16.46	33
30.84	100
31.05	47
42.65	52
45.65	19
45.91	37
56.23	19
57.92	11
58.01	16
87.49	12



This entry pairs a crystal structure of Cd2In3HgPb3 with its calculated X-ray powder pattern. Radiation: Cu Kα (λ = 1.5418 Å). Structure: a crystal structure in Alexandria, relaxed with GGA-PBE.
Neutral-atom scattering factors, no anomalous dispersion.

Cell and atoms:
```
9
Lattice="9.0151 0.0000 0.0000 -4.5075 7.8073 0.0000 0.0000 0.0000 3.5858" Properties=species:S:1:pos:R:3 pbc="T T T"
Cd 0.0000 5.2049 0.0000
Cd 4.5076 2.6024 0.0000
In -1.6638 2.8819 1.7929
In 3.3277 0.0000 1.7929
In 2.8437 4.9254 1.7929
Hg 0.0000 0.0000 1.7929
Pb -3.1650 5.4820 0.0000
Pb 1.3425 2.3253 0.0000
Pb 6.3300 0.0000 0.0000
```

Most intense lines, 10° ≤ 2θ ≤ 90°, sorted by position:
2theta	intensity
30.29	17
31.89	100
33.95	40
34.46	100
39.55	28
47.66	24
50.95	18
57.52	29
60.13	17
62.96	40



This entry pairs a crystal structure of Pm6AgIr2 with its calculated X-ray powder pattern. Radiation: Cu Kα (λ = 1.5418 Å). Structure: a crystal structure in Alexandria, relaxed with GGA-PBE.
Neutral-atom scattering factors, no anomalous dispersion.

Cell and atoms:
```
9
Lattice="6.0120 -2.7867 0.0000 6.0120 2.7867 0.0000 -5.9343 0.0000 7.5010" Properties=species:S:1:pos:R:3 pbc="T T T"
Pm -1.2145 0.0000 2.8602
Pm 2.1568 0.0000 2.4665
Pm -1.5728 0.0000 7.2493
Pm 7.6625 0.0000 0.2517
Pm 3.9329 0.0000 5.0345
Pm 7.3042 0.0000 4.6408
Ag 0.0000 0.0000 0.0000
Ir 0.7253 0.0000 5.1234
Ir 5.3644 0.0000 2.3776
```

Most intense lines, 10° ≤ 2θ ≤ 90°, sorted by position:
2theta	intensity
18.49	23
31.96	24
32.14	100
32.71	52
32.97	86
34.70	22
35.92	44
45.94	21
48.94	37
57.82	21



This entry pairs a crystal structure of Np2SbRh4 with its calculated X-ray powder pattern. Radiation: Cu Kα (λ = 1.5418 Å). Structure: a crystal structure in Alexandria, relaxed with GGA-PBE.
Neutral-atom scattering factors, no anomalous dispersion.

Cell and atoms:
```
14
Lattice="5.5913 -4.1215 0.0000 5.5913 4.1215 0.0000 0.0000 0.0000 5.9322" Properties=species:S:1:pos:R:3 pbc="T T T"
Np 1.6880 0.0000 0.0000
Np 3.9032 0.0000 2.9661
Np 7.2793 0.0000 2.9661
Np 9.4945 0.0000 0.0000
Sb 0.0000 0.0000 2.9661
Sb 5.5913 0.0000 0.0000
Rh 2.7956 2.0580 1.4831
Rh 8.3869 -2.0580 4.4492
Rh 5.5913 2.0858 4.4847
Rh 5.5913 2.0357 1.5186
Rh 8.3869 2.0580 1.4831
Rh 2.7956 -2.0580 4.4492
Rh 5.5913 -2.0357 4.4136
Rh 5.5913 -2.0858 1.4475
```

Most intense lines, 10° ≤ 2θ ≤ 90°, sorted by position:
2theta	intensity
20.08	18
30.32	100
37.35	92
38.93	36
43.68	38
43.94	29
44.54	25
53.63	21
63.07	23
64.35	17



This entry pairs a crystal structure of TeClO2 with its calculated X-ray powder pattern. Radiation: Cu Kα (λ = 1.5418 Å). Structure: a crystal structure in Alexandria, relaxed with GGA-PBE.
Neutral-atom scattering factors, no anomalous dispersion.

Cell and atoms:
```
16
Lattice="5.2710 0.0000 0.0000 -1.2515 5.8166 0.0000 -0.2199 -1.1765 12.7079" Properties=species:S:1:pos:R:3 pbc="T T T"
Te 0.5838 1.7571 5.7564
Te 1.3176 0.0807 0.7872
Te 2.4820 4.5594 11.9207
Te 3.2158 2.8830 6.9515
Cl -0.6547 4.6057 2.6079
Cl 2.0505 1.7444 2.2710
Cl 1.7491 2.8957 10.4370
Cl 4.4543 0.0344 10.1000
O -1.1320 3.5208 12.2222
O -0.3624 3.4396 5.8485
O 1.5222 1.7611 7.4429
O 2.0730 -0.1879 11.9962
O 1.7266 4.8280 0.7118
O 2.2774 2.8790 5.2650
O 4.1620 1.2005 6.8594
O 4.9316 1.1193 0.4857
```

Most intense lines, 10° ≤ 2θ ≤ 90°, sorted by position:
2theta	intensity
13.94	76
16.22	100
17.40	63
18.83	20
24.87	22
25.32	22
30.14	19
35.71	23
39.86	21
40.11	19



This entry pairs a crystal structure of AcPaH6Ru2 with its calculated X-ray powder pattern. Radiation: Cu Kα (λ = 1.5418 Å). Structure: a crystal structure in Alexandria, relaxed with GGA-PBE.
Neutral-atom scattering factors, no anomalous dispersion.

Cell and atoms:
```
10
Lattice="2.3472 1.3552 6.1933 -2.3472 1.3552 6.1933 0.0000 -2.7103 6.1933" Properties=species:S:1:pos:R:3 pbc="T T T"
Ac 0.0000 0.0000 0.0000
Pa 0.0000 0.0000 9.2899
H -1.1518 -0.6650 7.3729
H 0.0000 -1.3300 11.2070
H -1.1518 0.6650 11.2070
H 1.1518 -0.6650 7.3729
H 0.0000 1.3300 7.3729
H 1.1518 0.6650 11.2070
Ru 0.0000 0.0000 3.9426
Ru 0.0000 0.0000 14.6373
```

Most intense lines, 10° ≤ 2θ ≤ 90°, sorted by position:
2theta	intensity
23.89	33
28.83	18
29.19	100
38.35	64
44.95	15
48.68	27
48.91	25
54.28	20
63.80	22
81.24	13



This entry pairs a crystal structure of LiGd5 with its calculated X-ray powder pattern. Radiation: Cu Kα (λ = 1.5418 Å). Structure: a crystal structure in Alexandria, relaxed with GGA-PBE.
Neutral-atom scattering factors, no anomalous dispersion.

Cell and atoms:
```
12
Lattice="5.6164 0.0000 0.0000 0.0000 17.3860 0.0000 0.0000 0.0000 3.7398" Properties=species:S:1:pos:R:3 pbc="T T T"
Li 0.0000 0.0000 0.0000
Li 2.8082 8.6930 0.0000
Gd 0.0000 2.4804 1.8699
Gd 0.0000 5.5027 0.0000
Gd 0.0000 8.6930 1.8699
Gd 0.0000 11.8833 0.0000
Gd 0.0000 14.9056 1.8699
Gd 2.8082 0.0000 1.8699
Gd 2.8082 3.1903 0.0000
Gd 2.8082 6.2126 1.8699
Gd 2.8082 11.1734 1.8699
Gd 2.8082 14.1957 0.0000
```

Most intense lines, 10° ≤ 2θ ≤ 90°, sorted by position:
2theta	intensity
25.94	14
30.23	27
30.86	19
31.87	30
32.65	100
44.95	14
48.44	13
57.28	20
59.16	14
59.38	10



This entry pairs a crystal structure of Cs3ScAg2Cl8 with its calculated X-ray powder pattern. Radiation: Cu Kα (λ = 1.5418 Å). Structure: a crystal structure in Alexandria, relaxed with GGA-PBE.
Neutral-atom scattering factors, no anomalous dispersion.

Cell and atoms:
```
14
Lattice="7.4018 0.0000 0.0000 -3.7009 6.4101 0.0000 0.0000 0.0000 10.0739" Properties=species:S:1:pos:R:3 pbc="T T T"
Cs 0.0000 0.0000 0.0000
Cs 0.0000 4.2734 6.4359
Cs 3.7009 2.1367 3.6380
Sc 0.0000 0.0000 5.0369
Ag 0.0000 4.2734 2.0612
Ag 3.7009 2.1367 8.0127
Cl 0.0000 2.0237 3.5542
Cl -1.9483 5.3982 3.5542
Cl 1.7526 1.0119 6.5197
Cl 0.0000 4.2734 9.7274
Cl 3.7009 2.1367 0.3465
Cl 1.9483 5.3982 3.5542
Cl 5.6491 1.0119 6.5197
Cl 3.7009 4.3864 6.5197
```

Most intense lines, 10° ≤ 2θ ≤ 90°, sorted by position:
2theta	intensity
22.45	64
24.05	100
30.04	19
33.13	62
38.40	14
38.84	15
41.35	25
42.30	21
45.82	20
49.24	27



This entry pairs a crystal structure of PH6PbCBr3 with its calculated X-ray powder pattern. Radiation: Cu Kα (λ = 1.5418 Å). Structure: a crystal structure in Alexandria, relaxed with GGA-PBE.
Neutral-atom scattering factors, no anomalous dispersion.

Cell and atoms:
```
48
Lattice="7.7378 0.0000 0.0000 1.1407 8.5958 0.0000 0.8160 1.0124 15.4544" Properties=species:S:1:pos:R:3 pbc="T T T"
P 0.0000 0.0000 0.0000
P 1.1531 4.6073 7.4825
P 4.6748 5.1468 12.8821
P 5.5844 8.8087 4.8846
H 1.2420 6.3101 9.1608
H 1.3012 5.4724 6.3689
H 0.8853 1.7694 1.3416
H 2.3551 8.3090 15.0823
H 1.0855 0.1575 2.1168
H 2.4153 4.0433 7.7743
H 2.1617 0.6491 0.7547
H 3.4078 5.7700 12.9273
H 4.2959 8.3006 4.6213
H 3.8496 1.8806 6.4855
H 4.4831 3.7825 13.2150
H 5.3287 8.8891 7.2641
H 5.0900 5.2091 11.5398
H 5.5383 5.7815 15.0142
H 5.8141 7.0467 13.7677
H 4.7957 1.1051 3.8403
H 5.5427 1.3194 6.6982
H 6.4766 7.7216 4.8510
H 6.8365 5.5620 13.7851
H 7.2928 5.8971 8.7142
H 7.5975 8.4529 0.5795
H 8.2352 4.7949 9.7761
H 8.0339 3.5493 7.1390
H 8.4019 1.8018 14.2863
Pb 2.0674 1.0772 10.9393
Pb 3.6721 4.8496 3.1499
Pb 5.9443 1.0393 10.9483
Pb 7.5293 4.8082 3.0925
C 1.1495 0.7182 1.1734
C 4.5104 1.0062 6.4914
C 5.8343 5.9672 13.9744
C 8.2905 5.4885 8.9244
Br 1.7184 6.9515 4.2915
Br 1.8377 4.7326 0.7492
Br 1.8453 2.8708 4.4996
Br 4.0177 3.1150 9.7553
Br 3.9283 1.2010 13.3634
Br 5.0736 7.5715 9.8640
Br 5.6904 6.9304 1.9660
Br 5.7286 4.9405 5.5175
Br 5.5840 2.7513 1.9776
Br 7.7860 3.1609 12.1481
Br 7.8339 1.0204 8.5992
Br 9.0511 7.6740 12.2570
```

Most intense lines, 10° ≤ 2θ ≤ 90°, sorted by position:
2theta	intensity
11.46	100
12.12	38
20.70	12
26.09	9
30.09	9
35.30	8
37.58	8
39.59	12
42.07	10
42.14	8